K2HfOsO6: theoretical X-ray powder pattern (Cu Kα, 1.54184 Å), based on a cell relaxed with GGA-PBE.

The 7 most intense peaks (5 to 70 degrees two-theta), low angle first:
d [Å]	2θ/deg	Rel. int.	index
3.990	22.3	702	0 1 2
2.821	31.7	1000	1 1 0
2.303	39.1	79	2 0 2
1.995	45.5	311	0 2 4
1.784	51.2	313	1 2 2
1.629	56.5	392	3 0 0
1.411	66.3	187	2 2 0

Cell and atoms:
```
data_K2HfOsO6
_chemical_formula_sum 'K6 Hf3 Os3 O18'
_symmetry_space_group_name_H-M 'R -3 m'
_symmetry_Int_Tables_number 166
_symmetry_space_group_name_Hall '-R 3 2"'
_cell_length_a 5.6445
_cell_length_b 5.6445
_cell_length_c 13.8095
_cell_angle_alpha 90.00
_cell_angle_beta 90.00
_cell_angle_gamma 120.00
loop_
_atom_site_label
_atom_site_fract_x
_atom_site_fract_y
_atom_site_fract_z
K1 0.0000 0.0000 0.2499
Hf1 0.0000 0.0000 0.0000
Os1 0.0000 0.0000 0.5000
O1 0.0118 0.5059 0.2470
```